1.
The following is a calculated powder diffraction line list of AcLaMg2. It was derived from a PBE-relaxed structure, using λ = 1.5418 Å (Cu Kα).
No peak broadening, texture or thermal motion is included.

Crystal structure
```
4
Lattice="5.699 0.000 0.000 0.000 5.699 0.000 0.000 0.000 4.060" Properties=species:S:1:pos:R:3 pbc="T T T"
Ac 0.000 0.000 0.000
La 2.849 2.849 0.000
Mg 0.000 2.849 2.030
Mg 2.849 0.000 2.030
```

Largest 10 diffraction maxima, in order of rising 2θ, 2θ = 5–70°:
2theta, I/Imax
21.89, 33
22.06, 66
31.27, 100
31.39, 49
38.60, 32
44.99, 18
50.33, 15
50.61, 30
55.58, 20
55.81, 39



2.
The following is a calculated powder diffraction line list of AcLa6Mg2. It was derived from a PBE-relaxed structure, using λ = 1.5418 Å (Cu Kα).
No peak broadening, texture or thermal motion is included.

Crystal structure
```
9
Lattice="3.153 -5.486 0.000 3.153 5.486 0.000 0.000 0.000 9.082" Properties=species:S:1:pos:R:3 pbc="T T T"
Ac 0.000 0.000 0.000
La 1.544 0.954 3.125
La 3.153 1.915 0.000
La 1.544 -0.954 5.957
La 4.762 0.954 5.957
La 3.153 -1.915 0.000
La 4.762 -0.954 3.125
Mg 1.576 2.743 6.109
Mg 1.576 -2.743 2.973
```

Largest 10 diffraction maxima, in order of rising 2θ, 2θ = 5–70°:
2theta, I/Imax
18.94, 17
28.21, 17
29.50, 37
29.94, 100
34.58, 67
41.27, 13
49.44, 25
51.12, 13
58.58, 16
66.71, 14



3.
The following is a calculated powder diffraction line list of AcLaMoN4. It was derived from a PBE-relaxed structure, using λ = 1.5418 Å (Cu Kα).
No peak broadening, texture or thermal motion is included.

Crystal structure
```
14
Lattice="6.086 0.000 0.000 0.000 6.037 0.000 -2.419 0.000 6.862" Properties=species:S:1:pos:R:3 pbc="T T T"
Ac 0.284 1.509 2.998
Ac 3.384 4.528 3.864
La -0.468 1.509 6.686
La 4.136 4.528 0.176
Mo 1.021 4.528 1.317
Mo 2.647 1.509 5.546
N -0.574 4.528 2.307
N -1.861 4.528 6.389
N 2.135 3.063 1.722
N 2.135 5.993 1.722
N 1.532 0.045 5.140
N 1.532 2.974 5.140
N 5.529 1.509 0.473
N 4.242 1.509 4.556
```

Largest 10 diffraction maxima, in order of rising 2θ, 2θ = 5–70°:
2theta, I/Imax
21.36, 100
22.16, 27
23.27, 46
29.49, 99
29.59, 86
29.95, 47
31.16, 46
36.64, 40
37.79, 53
43.51, 47



4.
The following is a calculated powder diffraction line list of AcLa2Mo2N6. It was derived from a PBE-relaxed structure, using λ = 1.5418 Å (Cu Kα).
No peak broadening, texture or thermal motion is included.

Crystal structure
```
11
Lattice="2.957 1.707 6.585 -2.957 1.707 6.585 0.000 -3.414 6.585" Properties=species:S:1:pos:R:3 pbc="T T T"
Ac 0.000 0.000 0.000
La 0.000 0.000 3.930
La 0.000 0.000 15.824
Mo 0.000 0.000 8.053
Mo 0.000 0.000 11.701
N -1.505 -0.869 11.149
N 0.000 -1.738 8.606
N -1.505 0.869 8.606
N 1.505 -0.869 11.149
N 0.000 1.738 11.149
N 1.505 0.869 8.606
```

Largest 10 diffraction maxima, in order of rising 2θ, 2θ = 5–70°:
2theta, I/Imax
17.89, 13
28.53, 100
30.22, 85
42.05, 42
49.45, 23
52.65, 37
53.69, 17
59.06, 12
62.86, 13
67.78, 17



Q: Number 3 is which compound?
A: AcLaMoN4